Record 1
This entry pairs a crystal structure of Pr4Nd7Mg with its theoretical powder X-ray diffraction pattern. Radiation: Cu Kα. Structure: the PBE geometry in Alexandria.
Intensities are scaled so that the largest is 100.

The 6 most intense peaks (10° ≤ 2θ ≤ 90°), in order of rising 2θ:
2theta	d/Å	I (rel.)
30.67	2.915	97
30.93	2.891	100
44.12	2.053	37
54.85	1.674	41
55.01	1.669	20
73.06	1.295	17

Crystal structure
```
data_Pr4Nd7Mg
_chemical_formula_sum 'Pr4 Nd7 Mg1'
_space_group_name_H-M_alt 'P 1'
_space_group_IT_number 1
_space_group_name_Hall 'P 1'
_cell_length_a 5.7829
_cell_length_b 5.7829
_cell_length_c 14.3399
_cell_angle_alpha 90.00
_cell_angle_beta 90.00
_cell_angle_gamma 120.00
loop_
_atom_site_label
_atom_site_type_symbol
_atom_site_fract_x
_atom_site_fract_y
_atom_site_fract_z
Pr1 Pr 0.3333 0.6667 0.1846
Pr2 Pr 0.3333 0.6667 0.4314
Pr3 Pr 0.6667 0.3333 0.5686
Pr4 Pr 0.6667 0.3333 0.8154
Nd1 Nd 0.0000 0.0000 0.2293
Nd2 Nd 0.0000 0.0000 0.5000
Nd3 Nd 0.0000 0.0000 0.7707
Nd4 Nd 0.3333 0.6667 0.6767
Nd5 Nd 0.3333 0.6667 0.9260
Nd6 Nd 0.6667 0.3333 0.0740
Nd7 Nd 0.6667 0.3333 0.3233
Mg1 Mg 0.0000 0.0000 0.0000
```

Record 2
This entry pairs a crystal structure of Pr7ErTl3 with its theoretical powder X-ray diffraction pattern. Radiation: Cu Kα. Structure: the PBE geometry in Alexandria.
Intensities are scaled so that the largest is 100.

The 6 most intense peaks (10° ≤ 2θ ≤ 90°), in order of rising 2θ:
2theta	d/Å	I (rel.)
29.16	3.063	80
29.66	3.012	100
31.82	2.812	43
33.69	2.660	91
33.82	2.650	90
42.08	2.148	59

Crystal structure
```
data_Pr7ErTl3
_chemical_formula_sum 'Pr7 Er1 Tl3'
_space_group_name_H-M_alt 'P 1'
_space_group_IT_number 1
_space_group_name_Hall 'P 1'
_cell_length_a 8.4916
_cell_length_b 8.4916
_cell_length_c 6.0237
_cell_angle_alpha 110.57
_cell_angle_beta 110.57
_cell_angle_gamma 92.34
loop_
_atom_site_label
_atom_site_type_symbol
_atom_site_fract_x
_atom_site_fract_y
_atom_site_fract_z
Pr1 Pr 0.0000 0.0000 0.0000
Pr2 Pr 0.1067 0.5370 0.3211
Pr3 Pr 0.3327 0.3327 0.8335
Pr4 Pr 0.4630 0.8933 0.6789
Pr5 Pr 0.5370 0.1067 0.3211
Pr6 Pr 0.6673 0.6673 0.1665
Pr7 Pr 0.8933 0.4630 0.6789
Er1 Er 0.0000 0.0000 0.5000
Tl1 Tl 0.2623 0.7377 0.0000
Tl2 Tl 0.5000 0.5000 0.5000
Tl3 Tl 0.7377 0.2623 0.0000
```

Record 3
This entry pairs a crystal structure of Sm4Bi5H2 with its theoretical powder X-ray diffraction pattern. Radiation: Cu Kα. Structure: the PBE geometry in Alexandria.
Intensities are scaled so that the largest is 100.

The 6 most intense peaks (10° ≤ 2θ ≤ 90°), in order of rising 2θ:
2theta	d/Å	I (rel.)
22.03	4.035	33
24.18	3.680	38
28.10	3.175	32
32.47	2.757	97
33.70	2.659	100
43.53	2.079	33

Crystal structure
```
data_Sm4Bi5H2
_chemical_formula_sum 'Sm4 Bi5 H2'
_space_group_name_H-M_alt 'P 1'
_space_group_IT_number 1
_space_group_name_Hall 'P 1'
_cell_length_a 8.6304
_cell_length_b 8.6304
_cell_length_c 9.3012
_cell_angle_alpha 93.55
_cell_angle_beta 93.55
_cell_angle_gamma 27.88
loop_
_atom_site_label
_atom_site_type_symbol
_atom_site_fract_x
_atom_site_fract_y
_atom_site_fract_z
Sm1 Sm 0.0210 0.0210 0.2352
Sm2 Sm 0.2899 0.2899 0.7933
Sm3 Sm 0.7101 0.7101 0.2067
Sm4 Sm 0.9790 0.9790 0.7648
Bi1 Bi 0.1350 0.1350 0.9687
Bi2 Bi 0.1706 0.1706 0.4974
Bi3 Bi 0.5000 0.5000 0.5000
Bi4 Bi 0.8294 0.8294 0.5026
Bi5 Bi 0.8650 0.8650 0.0313
H1 H 0.4235 0.4235 0.7918
H2 H 0.5765 0.5765 0.2082
```

Record 4
This entry pairs a crystal structure of BaCd8Pb2 with its theoretical powder X-ray diffraction pattern. Radiation: Cu Kα. Structure: the PBE geometry in Alexandria.
Intensities are scaled so that the largest is 100.

The 6 most intense peaks (10° ≤ 2θ ≤ 90°), in order of rising 2θ:
2theta	d/Å	I (rel.)
16.90	5.246	21
30.78	2.905	100
34.19	2.623	88
37.55	2.395	59
38.09	2.363	33
54.56	1.682	39

Crystal structure
```
data_BaCd8Pb2
_chemical_formula_sum 'Ba1 Cd8 Pb2'
_space_group_name_H-M_alt 'P 1'
_space_group_IT_number 1
_space_group_name_Hall 'P 1'
_cell_length_a 5.6807
_cell_length_b 5.6807
_cell_length_c 11.0494
_cell_angle_alpha 90.00
_cell_angle_beta 90.00
_cell_angle_gamma 112.57
loop_
_atom_site_label
_atom_site_type_symbol
_atom_site_fract_x
_atom_site_fract_y
_atom_site_fract_z
Ba1 Ba 0.0000 0.0000 0.0000
Cd1 Cd 0.0000 0.5000 0.1996
Cd2 Cd 0.0000 0.5000 0.5000
Cd3 Cd 0.0000 0.5000 0.8004
Cd4 Cd 0.5000 0.0000 0.1996
Cd5 Cd 0.5000 0.0000 0.5000
Cd6 Cd 0.5000 0.0000 0.8004
Cd7 Cd 0.5000 0.5000 0.3449
Cd8 Cd 0.5000 0.5000 0.6551
Pb1 Pb 0.0000 0.0000 0.3487
Pb2 Pb 0.0000 0.0000 0.6513
```

Record 5
This entry pairs a crystal structure of TbUN3 with its theoretical powder X-ray diffraction pattern. Radiation: Cu Kα. Structure: the PBE geometry in Alexandria.
Intensities are scaled so that the largest is 100.

The 6 most intense peaks (10° ≤ 2θ ≤ 90°), in order of rising 2θ:
2theta	d/Å	I (rel.)
27.81	3.208	100
30.13	2.966	83
32.59	2.748	28
34.09	2.630	49
47.88	1.900	54
55.91	1.644	30

Crystal structure
```
data_TbUN3
_chemical_formula_sum 'Tb2 U2 N6'
_space_group_name_H-M_alt 'P 1'
_space_group_IT_number 1
_space_group_name_Hall 'P 1'
_cell_length_a 6.7692
_cell_length_b 6.7692
_cell_length_c 3.5233
_cell_angle_alpha 90.00
_cell_angle_beta 90.00
_cell_angle_gamma 108.56
loop_
_atom_site_label
_atom_site_type_symbol
_atom_site_fract_x
_atom_site_fract_y
_atom_site_fract_z
Tb1 Tb 0.0000 0.0000 0.0000
Tb2 Tb 0.5000 0.5000 0.0000
U1 U 0.0000 0.5000 0.5000
U2 U 0.5000 0.0000 0.5000
N1 N 0.1509 0.4239 0.0000
N2 N 0.1585 0.8415 0.5000
N3 N 0.4239 0.1509 0.0000
N4 N 0.5761 0.8491 0.0000
N5 N 0.8415 0.1585 0.5000
N6 N 0.8491 0.5761 0.0000
```

Record 6
This entry pairs a crystal structure of GaI2 with its theoretical powder X-ray diffraction pattern. Radiation: Cu Kα. Structure: the PBE geometry in Alexandria.
Intensities are scaled so that the largest is 100.

The 6 most intense peaks (10° ≤ 2θ ≤ 90°), in order of rising 2θ:
2theta	d/Å	I (rel.)
13.76	6.434	35
22.04	4.032	89
25.08	3.551	100
27.12	3.288	32
39.18	2.300	63
43.27	2.091	46

Crystal structure
```
data_GaI2
_chemical_formula_sum 'Ga1 I2'
_space_group_name_H-M_alt 'P 1'
_space_group_IT_number 1
_space_group_name_Hall 'P 1'
_cell_length_a 4.2582
_cell_length_b 5.1745
_cell_length_c 6.4343
_cell_angle_alpha 90.00
_cell_angle_beta 90.00
_cell_angle_gamma 90.00
loop_
_atom_site_label
_atom_site_type_symbol
_atom_site_fract_x
_atom_site_fract_y
_atom_site_fract_z
Ga1 Ga 0.0000 0.0000 0.0000
I1 I 0.0000 0.5000 0.1559
I2 I 0.5000 0.0000 0.7154
```

Record 7
This entry pairs a crystal structure of K5TlSb2 with its theoretical powder X-ray diffraction pattern. Radiation: Cu Kα. Structure: the PBE geometry in Alexandria.
Intensities are scaled so that the largest is 100.

The 6 most intense peaks (10° ≤ 2θ ≤ 90°), in order of rising 2θ:
2theta	d/Å	I (rel.)
17.23	5.148	84
17.87	4.962	51
27.95	3.193	36
29.67	3.011	100
32.61	2.746	55
39.05	2.307	26

Crystal structure
```
data_K5TlSb2
_chemical_formula_sum 'K5 Tl1 Sb2'
_space_group_name_H-M_alt 'P 1'
_space_group_IT_number 1
_space_group_name_Hall 'P 1'
_cell_length_a 11.3155
_cell_length_b 11.3155
_cell_length_c 11.3155
_cell_angle_alpha 30.86
_cell_angle_beta 30.86
_cell_angle_gamma 30.86
loop_
_atom_site_label
_atom_site_type_symbol
_atom_site_fract_x
_atom_site_fract_y
_atom_site_fract_z
K1 K 0.0000 0.0000 0.0000
K2 K 0.1193 0.1193 0.1193
K3 K 0.2826 0.2826 0.2826
K4 K 0.7174 0.7174 0.7174
K5 K 0.8807 0.8807 0.8807
Tl1 Tl 0.5000 0.5000 0.5000
Sb1 Sb 0.4024 0.4024 0.4024
Sb2 Sb 0.5976 0.5976 0.5976
```

Record 8
This entry pairs a crystal structure of Ho2Rh6C with its theoretical powder X-ray diffraction pattern. Radiation: Cu Kα. Structure: the PBE geometry in Alexandria.
Intensities are scaled so that the largest is 100.

The 6 most intense peaks (10° ≤ 2θ ≤ 90°), in order of rising 2θ:
2theta	d/Å	I (rel.)
30.87	2.897	5
38.05	2.365	100
44.22	2.048	51
64.32	1.448	33
77.24	1.235	37
81.37	1.183	11

Crystal structure
```
data_Ho2Rh6C
_chemical_formula_sum 'Ho2 Rh6 C1'
_space_group_name_H-M_alt 'P 1'
_space_group_IT_number 1
_space_group_name_Hall 'P 1'
_cell_length_a 5.7932
_cell_length_b 5.7932
_cell_length_c 5.7932
_cell_angle_alpha 60.00
_cell_angle_beta 60.00
_cell_angle_gamma 60.00
loop_
_atom_site_label
_atom_site_type_symbol
_atom_site_fract_x
_atom_site_fract_y
_atom_site_fract_z
Ho1 Ho 0.2500 0.2500 0.2500
Ho2 Ho 0.7500 0.7500 0.7500
Rh1 Rh 0.2463 0.2463 0.7537
Rh2 Rh 0.2463 0.7537 0.2463
Rh3 Rh 0.2463 0.7537 0.7537
Rh4 Rh 0.7537 0.2463 0.2463
Rh5 Rh 0.7537 0.2463 0.7537
Rh6 Rh 0.7537 0.7537 0.2463
C1 C 0.5000 0.5000 0.5000
```

Record 9
This entry pairs a crystal structure of La4Pm5In2 with its theoretical powder X-ray diffraction pattern. Radiation: Cu Kα. Structure: the PBE geometry in Alexandria.
Intensities are scaled so that the largest is 100.

The 6 most intense peaks (10° ≤ 2θ ≤ 90°), in order of rising 2θ:
2theta	d/Å	I (rel.)
19.29	4.602	17
31.14	2.872	100
32.68	2.740	17
33.58	2.669	90
46.45	1.955	33
58.52	1.577	33

Crystal structure
```
data_La4Pm5In2
_chemical_formula_sum 'La4 Pm5 In2'
_space_group_name_H-M_alt 'P 1'
_space_group_IT_number 1
_space_group_name_Hall 'P 1'
_cell_length_a 16.1755
_cell_length_b 16.1755
_cell_length_c 16.1755
_cell_angle_alpha 19.00
_cell_angle_beta 19.00
_cell_angle_gamma 19.00
loop_
_atom_site_label
_atom_site_type_symbol
_atom_site_fract_x
_atom_site_fract_y
_atom_site_fract_z
La1 La 0.0752 0.0752 0.0752
La2 La 0.2278 0.2278 0.2278
La3 La 0.7722 0.7722 0.7722
La4 La 0.9248 0.9248 0.9248
Pm1 Pm 0.0000 0.0000 0.0000
Pm2 Pm 0.1486 0.1486 0.1486
Pm3 Pm 0.3049 0.3049 0.3049
Pm4 Pm 0.6951 0.6951 0.6951
Pm5 Pm 0.8514 0.8514 0.8514
In1 In 0.3794 0.3794 0.3794
In2 In 0.6206 0.6206 0.6206
```

Record 10
This entry pairs a crystal structure of CeNdS2 with its theoretical powder X-ray diffraction pattern. Radiation: Cu Kα. Structure: the PBE geometry in Alexandria.
Intensities are scaled so that the largest is 100.

The 6 most intense peaks (10° ≤ 2θ ≤ 90°), in order of rising 2θ:
2theta	d/Å	I (rel.)
26.80	3.327	18
27.01	3.302	54
31.22	2.865	100
44.61	2.031	36
44.87	2.020	36
55.68	1.651	19

Crystal structure
```
data_CeNdS2
_chemical_formula_sum 'Ce1 Nd1 S2'
_space_group_name_H-M_alt 'P 1'
_space_group_IT_number 1
_space_group_name_Hall 'P 1'
_cell_length_a 7.0505
_cell_length_b 7.0505
_cell_length_c 7.0505
_cell_angle_alpha 33.30
_cell_angle_beta 33.30
_cell_angle_gamma 33.30
loop_
_atom_site_label
_atom_site_type_symbol
_atom_site_fract_x
_atom_site_fract_y
_atom_site_fract_z
Ce1 Ce 0.0000 0.0000 0.0000
Nd1 Nd 0.5000 0.5000 0.5000
S1 S 0.2509 0.2509 0.2509
S2 S 0.7491 0.7491 0.7491
```

Record 11
This entry pairs a crystal structure of Li3HgGe with its theoretical powder X-ray diffraction pattern. Radiation: Cu Kα. Structure: the PBE geometry in Alexandria.
Intensities are scaled so that the largest is 100.

The 6 most intense peaks (10° ≤ 2θ ≤ 90°), in order of rising 2θ:
2theta	d/Å	I (rel.)
13.04	6.788	100
21.33	4.166	87
21.45	4.142	87
26.23	3.397	92
30.31	2.949	69
37.40	2.405	99

Crystal structure
```
data_Li3HgGe
_chemical_formula_sum 'Li6 Hg2 Ge2'
_space_group_name_H-M_alt 'P 1'
_space_group_IT_number 1
_space_group_name_Hall 'P 1'
_cell_length_a 4.3633
_cell_length_b 5.8985
_cell_length_c 7.1098
_cell_angle_alpha 90.00
_cell_angle_beta 107.30
_cell_angle_gamma 90.00
loop_
_atom_site_label
_atom_site_type_symbol
_atom_site_fract_x
_atom_site_fract_y
_atom_site_fract_z
Li1 Li 0.1266 0.0082 0.2384
Li2 Li 0.1266 0.4918 0.2384
Li3 Li 0.3007 0.2500 0.6028
Li4 Li 0.6993 0.7500 0.3972
Li5 Li 0.8734 0.5082 0.7616
Li6 Li 0.8734 0.9918 0.7616
Hg1 Hg 0.4622 0.7500 0.9998
Hg2 Hg 0.5378 0.2500 0.0002
Ge1 Ge 0.2942 0.7500 0.5913
Ge2 Ge 0.7058 0.2500 0.4087
```

Record 12
This entry pairs a crystal structure of AlAs3Se4Cl4 with its theoretical powder X-ray diffraction pattern. Radiation: Cu Kα. Structure: the PBE geometry in Alexandria.
Intensities are scaled so that the largest is 100.

The 6 most intense peaks (10° ≤ 2θ ≤ 90°), in order of rising 2θ:
2theta	d/Å	I (rel.)
10.23	8.645	100
12.28	7.206	36
13.47	6.573	42
14.96	5.923	42
16.95	5.230	52
27.55	3.238	40

Crystal structure
```
data_AlAs3Se4Cl4
_chemical_formula_sum 'Al4 As12 Se16 Cl16'
_space_group_name_H-M_alt 'P 1'
_space_group_IT_number 1
_space_group_name_Hall 'P 1'
_cell_length_a 12.4779
_cell_length_b 12.4779
_cell_length_c 14.5335
_cell_angle_alpha 119.50
_cell_angle_beta 119.50
_cell_angle_gamma 63.57
loop_
_atom_site_label
_atom_site_type_symbol
_atom_site_fract_x
_atom_site_fract_y
_atom_site_fract_z
Al1 Al 0.1994 0.2738 0.4310
Al2 Al 0.2738 0.1994 0.9310
Al3 Al 0.7262 0.8006 0.0690
Al4 Al 0.8006 0.7262 0.5690
As1 As 0.1169 0.7182 0.0573
As2 As 0.1383 0.6699 0.4382
As3 As 0.1792 0.5879 0.8837
As4 As 0.2818 0.8831 0.4427
As5 As 0.3301 0.8617 0.0618
As6 As 0.4121 0.8208 0.6163
As7 As 0.5879 0.1792 0.3837
As8 As 0.6699 0.1383 0.9382
As9 As 0.7182 0.1169 0.5573
As10 As 0.8208 0.4121 0.1163
As11 As 0.8617 0.3301 0.5618
As12 As 0.8831 0.2818 0.9427
Se1 Se 0.0860 0.8408 0.3765
Se2 Se 0.1592 0.9140 0.1235
Se3 Se 0.2530 0.7207 0.8706
Se4 Se 0.2793 0.7470 0.6294
Se5 Se 0.3038 0.5265 0.3559
Se6 Se 0.3406 0.5668 0.0740
Se7 Se 0.4332 0.6594 0.4260
Se8 Se 0.4735 0.6962 0.1441
Se9 Se 0.5265 0.3038 0.8559
Se10 Se 0.5668 0.3406 0.5740
Se11 Se 0.6594 0.4332 0.9260
Se12 Se 0.6962 0.4735 0.6441
Se13 Se 0.7207 0.2530 0.3706
Se14 Se 0.7470 0.2793 0.1294
Se15 Se 0.8408 0.0860 0.8765
Se16 Se 0.9140 0.1592 0.6235
Cl1 Cl 0.0728 0.1805 0.4065
Cl2 Cl 0.1379 0.3205 0.2837
Cl3 Cl 0.1376 0.3877 0.9494
Cl4 Cl 0.1805 0.0728 0.9065
Cl5 Cl 0.2115 0.4435 0.5790
Cl6 Cl 0.3205 0.1379 0.7837
Cl7 Cl 0.3877 0.1376 0.4494
Cl8 Cl 0.4435 0.2115 0.0790
Cl9 Cl 0.5565 0.7885 0.9210
Cl10 Cl 0.6123 0.8624 0.5506
Cl11 Cl 0.6795 0.8621 0.2163
Cl12 Cl 0.7885 0.5565 0.4210
Cl13 Cl 0.8195 0.9272 0.0935
Cl14 Cl 0.8624 0.6123 0.0506
Cl15 Cl 0.8621 0.6795 0.7163
Cl16 Cl 0.9272 0.8195 0.5935
```

Record 13
This entry pairs a crystal structure of LaSmBr with its theoretical powder X-ray diffraction pattern. Radiation: Cu Kα. Structure: the PBE geometry in Alexandria.
Intensities are scaled so that the largest is 100.

The 6 most intense peaks (10° ≤ 2θ ≤ 90°), in order of rising 2θ:
2theta	d/Å	I (rel.)
29.30	3.048	100
34.93	2.569	17
35.71	2.515	53
47.45	1.916	25
55.12	1.666	16
60.26	1.536	21

Crystal structure
```
data_LaSmBr
_chemical_formula_sum 'La1 Sm1 Br1'
_space_group_name_H-M_alt 'P 1'
_space_group_IT_number 1
_space_group_name_Hall 'P 1'
_cell_length_a 3.8324
_cell_length_b 3.8324
_cell_length_c 7.7057
_cell_angle_alpha 90.00
_cell_angle_beta 90.00
_cell_angle_gamma 120.00
loop_
_atom_site_label
_atom_site_type_symbol
_atom_site_fract_x
_atom_site_fract_y
_atom_site_fract_z
La1 La 0.0000 0.0000 0.0000
Sm1 Sm 0.3333 0.6667 0.6265
Br1 Br 0.6667 0.3333 0.3293
```